For YTa2, DFT lattice parameters and positions (GGA-PBE) gives the calculated powder XRD pattern in this record (CuKα).
Lines closer than 0.1° are merged.

Crystal structure
Cell: 10.9557 3.3917 7.6276 Å, 90.00 109.25 90.00°
Space group C2/m (No. 12)
Asymmetric unit:
Y 0.1572 0.0000 0.1055
Ta 0.0168 0.5000 0.7044
Ta 0.1575 0.0000 0.5512

The 10 most intense peaks (15 to 90 degrees two-theta), by intensity:
d_spacing  Rel. int.  h k l
2.534  1000  1 1 -2
2.418  767  3 1 0
2.583  415  2 0 2
1.417  195  2 2 2
2.027  187  1 1 -3
2.471  169  3 1 -1
2.147  166  4 0 -3
1.696  139  0 2 0
1.434  131  5 1 2
1.724  115  6 0 0